Simulated XRD peak list of Lu2H4Ir for Cu Kα (weighted mean of Kα1 and Kα2), from the GGA-PBE geometry in Alexandria.

Structural model:
a b c (Å): 6.590 6.590 6.590
angles (deg): 148.27 148.27 45.49
Fractional coordinates of all 7 atoms:
Lu  0.151  0.151  0.000
Lu  0.849  0.849  0.000
H  0.000  0.500  0.500
H  0.354  0.354  0.000
H  0.500  0.000  0.500
H  0.646  0.646  0.000
Ir  0.500  0.500  0.000

Largest 6 diffraction maxima, in order of falling intensity, 2θ = 10–80°:
| d (Å) | two_theta | Rel. int. |
| --- | --- | --- |
| 2.693 | 33.3 | 100 |
| 2.548 | 35.2 | 46 |
| 1.497 | 62.0 | 34 |
| 1.586 | 58.2 | 17 |
| 1.802 | 50.7 | 17 |
| 1.346 | 69.9 | 10 |

***

Simulated XRD peak list of Sr2Zn12Cu3Ir for Cu Kα (weighted mean of Kα1 and Kα2), from the GGA-PBE geometry in Alexandria.

Structural model:
a b c (Å): 10.223 10.223 10.223
angles (deg): 36.55 36.55 36.55
Fractional coordinates of all 18 atoms:
Sr  0.149  0.149  0.149
Sr  0.851  0.851  0.851
Zn  0.087  0.087  0.686
Zn  0.087  0.686  0.087
Zn  0.145  0.571  0.571
Zn  0.314  0.913  0.913
Zn  0.429  0.429  0.855
Zn  0.429  0.855  0.429
Zn  0.571  0.145  0.571
Zn  0.571  0.571  0.145
Zn  0.686  0.087  0.087
Zn  0.855  0.429  0.429
Zn  0.913  0.314  0.913
Zn  0.913  0.913  0.314
Cu  0.000  0.500  0.500
Cu  0.500  0.000  0.500
Cu  0.500  0.500  0.000
Ir  0.500  0.500  0.500

Largest 6 diffraction maxima, in order of falling intensity, 2θ = 10–80°:
| d (Å) | two_theta | Rel. int. |
| --- | --- | --- |
| 3.038 | 29.4 | 100 |
| 2.192 | 41.2 | 69 |
| 2.354 | 38.2 | 51 |
| 2.725 | 32.9 | 48 |
| 2.660 | 33.7 | 47 |
| 1.603 | 57.5 | 44 |

***

Simulated XRD peak list of Ce2HoF11 for Cu Kα (weighted mean of Kα1 and Kα2), from the GGA-PBE geometry in Alexandria.

Structural model:
a b c (Å): 8.622 8.622 8.622
angles (deg): 121.84 106.01 101.34
Fractional coordinates of all 28 atoms:
Ce  0.183  0.149  0.332
Ce  0.317  0.649  0.966
Ce  0.683  0.351  0.034
Ce  0.817  0.851  0.668
Ho  0.250  0.750  0.500
Ho  0.750  0.250  0.500
F  0.000  0.000  0.000
F  0.031  0.451  0.766
F  0.065  0.852  0.642
F  0.186  0.951  0.420
F  0.210  0.423  0.358
F  0.212  0.874  0.086
F  0.288  0.374  0.662
F  0.290  0.648  0.213
F  0.314  0.735  0.766
F  0.435  0.077  0.787
F  0.469  0.235  0.420
F  0.500  0.500  0.000
F  0.531  0.765  0.580
F  0.565  0.923  0.213
F  0.686  0.265  0.234
F  0.710  0.352  0.787
F  0.712  0.626  0.338
F  0.788  0.126  0.914
F  0.790  0.577  0.642
F  0.814  0.049  0.580
F  0.935  0.148  0.358
F  0.969  0.549  0.234

Largest 6 diffraction maxima, in order of falling intensity, 2θ = 10–80°:
| d (Å) | two_theta | Rel. int. |
| --- | --- | --- |
| 4.188 | 21.2 | 100 |
| 3.762 | 23.6 | 70 |
| 3.661 | 24.3 | 55 |
| 2.019 | 44.9 | 41 |
| 4.091 | 21.7 | 39 |
| 2.077 | 43.6 | 29 |

***

Simulated XRD peak list of PmErSnBi for Cu Kα (weighted mean of Kα1 and Kα2), from the GGA-PBE geometry in Alexandria.

Structural model:
a b c (Å): 5.484 5.484 5.484
angles (deg): 60.00 60.00 60.00
Fractional coordinates of all 4 atoms:
Pm  0.000  0.000  0.000
Er  0.500  0.500  0.500
Sn  0.750  0.750  0.750
Bi  0.250  0.250  0.250

Largest 6 diffraction maxima, in order of falling intensity, 2θ = 10–80°:
| d (Å) | two_theta | Rel. int. |
| --- | --- | --- |
| 2.742 | 32.7 | 100 |
| 1.583 | 58.3 | 39 |
| 1.939 | 46.9 | 19 |
| 1.226 | 77.9 | 17 |
| 1.371 | 68.4 | 12 |
| 4.477 | 19.8 | 4 |

***

Simulated XRD peak list of CdGa6Ag8 for Cu Kα (weighted mean of Kα1 and Kα2), from the GGA-PBE geometry in Alexandria.

Structural model:
a b c (Å): 6.830 6.830 6.830
angles (deg): 74.40 74.40 74.40
Fractional coordinates of all 15 atoms:
Cd  0.000  0.000  0.000
Ga  0.169  0.566  0.365
Ga  0.365  0.169  0.566
Ga  0.434  0.635  0.831
Ga  0.566  0.365  0.169
Ga  0.635  0.831  0.434
Ga  0.831  0.434  0.635
Ag  0.140  0.439  0.809
Ag  0.191  0.860  0.561
Ag  0.206  0.206  0.206
Ag  0.439  0.809  0.140
Ag  0.561  0.191  0.860
Ag  0.794  0.794  0.794
Ag  0.809  0.140  0.439
Ag  0.860  0.561  0.191

Largest 6 diffraction maxima, in order of falling intensity, 2θ = 10–80°:
| d (Å) | two_theta | Rel. int. |
| --- | --- | --- |
| 2.384 | 37.7 | 100 |
| 2.104 | 43.0 | 99 |
| 2.143 | 42.2 | 71 |
| 2.536 | 35.4 | 58 |
| 3.155 | 28.3 | 57 |
| 2.176 | 41.5 | 40 |

***

Simulated XRD peak list of LiAcF4 for Cu Kα (weighted mean of Kα1 and Kα2), from the GGA-PBE geometry in Alexandria.

Structural model:
a b c (Å): 4.228 4.228 5.491
angles (deg): 100.30 100.30 87.39
Fractional coordinates of all 6 atoms:
Li  0.000  0.000  0.000
Ac  0.500  0.500  0.500
F  0.062  0.603  0.757
F  0.397  0.938  0.243
F  0.603  0.062  0.757
F  0.938  0.397  0.243

Largest 6 diffraction maxima, in order of falling intensity, 2θ = 10–80°:
| d (Å) | two_theta | Rel. int. |
| --- | --- | --- |
| 4.160 | 21.4 | 100 |
| 5.320 | 16.7 | 89 |
| 3.594 | 24.8 | 89 |
| 3.031 | 29.5 | 49 |
| 2.081 | 43.5 | 44 |
| 2.560 | 35.0 | 32 |

***

Simulated XRD peak list of Ce2TeF3 for Cu Kα (weighted mean of Kα1 and Kα2), from the GGA-PBE geometry in Alexandria.

Structural model:
a b c (Å): 7.996 7.996 8.195
angles (deg): 112.80 112.80 29.88
Fractional coordinates of all 12 atoms:
Ce  0.026  0.026  0.228
Ce  0.304  0.304  0.317
Ce  0.696  0.696  0.683
Ce  0.974  0.974  0.772
Te  0.362  0.362  0.950
Te  0.638  0.638  0.050
F  0.103  0.103  0.670
F  0.190  0.190  0.457
F  0.442  0.442  0.598
F  0.558  0.558  0.402
F  0.810  0.810  0.543
F  0.897  0.897  0.330

Largest 6 diffraction maxima, in order of falling intensity, 2θ = 10–80°:
| d (Å) | two_theta | Rel. int. |
| --- | --- | --- |
| 3.105 | 28.8 | 100 |
| 2.890 | 30.9 | 84 |
| 3.325 | 26.8 | 59 |
| 2.797 | 32.0 | 34 |
| 2.062 | 43.9 | 34 |
| 2.231 | 40.4 | 30 |

***

Simulated XRD peak list of Tm3Tl3Cd2 for Cu Kα (weighted mean of Kα1 and Kα2), from the GGA-PBE geometry in Alexandria.

Structural model:
a b c (Å): 8.287 8.287 3.539
angles (deg): 90.00 90.00 120.00
Fractional coordinates of all 8 atoms:
Tm  0.000  0.630  0.000
Tm  0.370  0.370  0.000
Tm  0.630  0.000  0.000
Tl  0.000  0.254  0.500
Tl  0.254  0.000  0.500
Tl  0.746  0.746  0.500
Cd  0.333  0.667  0.500
Cd  0.667  0.333  0.500

Largest 6 diffraction maxima, in order of falling intensity, 2θ = 10–80°:
| d (Å) | two_theta | Rel. int. |
| --- | --- | --- |
| 2.691 | 33.3 | 100 |
| 2.713 | 33.0 | 53 |
| 2.392 | 37.6 | 38 |
| 2.520 | 35.6 | 24 |
| 2.153 | 42.0 | 22 |
| 1.493 | 62.2 | 18 |

***

Simulated XRD peak list of TaZn2AgO6 for Cu Kα (weighted mean of Kα1 and Kα2), from the GGA-PBE geometry in Alexandria.

Structural model:
a b c (Å): 5.650 7.484 5.716
angles (deg): 90.00 103.36 90.00
Fractional coordinates of all 20 atoms:
Ta  0.000  0.000  0.000
Ta  0.000  0.500  0.000
Zn  0.033  0.250  0.556
Zn  0.474  0.750  0.958
Zn  0.526  0.250  0.042
Zn  0.967  0.750  0.444
Ag  0.500  0.000  0.500
Ag  0.500  0.500  0.500
O  0.147  0.750  0.051
O  0.152  0.061  0.345
O  0.152  0.439  0.345
O  0.277  0.076  0.875
O  0.277  0.424  0.875
O  0.361  0.750  0.591
O  0.639  0.250  0.409
O  0.723  0.576  0.125
O  0.723  0.924  0.125
O  0.848  0.561  0.655
O  0.848  0.939  0.655
O  0.853  0.250  0.949

Largest 6 diffraction maxima, in order of falling intensity, 2θ = 10–80°:
| d (Å) | two_theta | Rel. int. |
| --- | --- | --- |
| 2.866 | 31.2 | 100 |
| 2.565 | 35.0 | 65 |
| 2.781 | 32.2 | 47 |
| 2.749 | 32.6 | 37 |
| 2.230 | 40.5 | 31 |
| 1.675 | 54.8 | 28 |

***

Simulated XRD peak list of Zr2AlCu2 for Cu Kα (weighted mean of Kα1 and Kα2), from the GGA-PBE geometry in Alexandria.

Structural model:
a b c (Å): 6.454 9.584 2.808
angles (deg): 90.00 90.00 90.00
Fractional coordinates of all 10 atoms:
Zr  0.142  0.198  0.000
Zr  0.358  0.698  0.000
Zr  0.642  0.302  0.000
Zr  0.858  0.802  0.000
Al  0.000  0.500  0.000
Al  0.500  0.000  0.000
Cu  0.179  0.935  0.500
Cu  0.321  0.435  0.500
Cu  0.679  0.565  0.500
Cu  0.821  0.065  0.500

Largest 6 diffraction maxima, in order of falling intensity, 2θ = 10–80°:
| d (Å) | two_theta | Rel. int. |
| --- | --- | --- |
| 2.269 | 39.7 | 100 |
| 2.068 | 43.8 | 66 |
| 2.246 | 40.1 | 65 |
| 2.423 | 37.1 | 54 |
| 3.058 | 29.2 | 38 |
| 5.353 | 16.6 | 36 |

***

Simulated XRD peak list of LiNbTe3O12 for Cu Kα (weighted mean of Kα1 and Kα2), from the GGA-PBE geometry in Alexandria.

Structural model:
a b c (Å): 5.019 8.514 5.304
angles (deg): 90.00 91.95 90.00
Fractional coordinates of all 17 atoms:
Li  0.000  0.000  0.000
Nb  0.500  0.093  0.500
Te  0.000  0.590  0.000
Te  0.000  0.771  0.500
Te  0.500  0.281  0.000
O  0.199  0.764  0.827
O  0.208  0.609  0.320
O  0.233  0.933  0.384
O  0.251  0.443  0.864
O  0.285  0.119  0.821
O  0.302  0.260  0.300
O  0.698  0.260  0.700
O  0.715  0.119  0.179
O  0.749  0.443  0.136
O  0.767  0.933  0.616
O  0.792  0.609  0.680
O  0.801  0.764  0.173

Largest 6 diffraction maxima, in order of falling intensity, 2θ = 10–80°:
| d (Å) | two_theta | Rel. int. |
| --- | --- | --- |
| 4.322 | 20.6 | 100 |
| 4.500 | 19.7 | 47 |
| 2.796 | 32.0 | 31 |
| 2.741 | 32.7 | 30 |
| 2.504 | 35.9 | 23 |
| 1.786 | 51.2 | 14 |

***

Simulated XRD peak list of Nd2ThSc6 for Cu Kα (weighted mean of Kα1 and Kα2), from the GGA-PBE geometry in Alexandria.

Structural model:
a b c (Å): 9.587 9.587 9.587
angles (deg): 122.34 61.58 160.21
Fractional coordinates of all 9 atoms:
Nd  0.154  0.000  0.154
Nd  0.846  0.000  0.846
Th  0.002  0.502  0.500
Sc  0.338  0.176  0.508
Sc  0.338  0.830  0.162
Sc  0.500  0.329  0.829
Sc  0.500  0.672  0.171
Sc  0.668  0.176  0.838
Sc  0.668  0.830  0.492

Largest 6 diffraction maxima, in order of falling intensity, 2θ = 10–80°:
| d (Å) | two_theta | Rel. int. |
| --- | --- | --- |
| 2.687 | 33.3 | 100 |
| 4.721 | 18.8 | 95 |
| 2.648 | 33.9 | 77 |
| 2.478 | 36.2 | 74 |
| 2.904 | 30.8 | 69 |
| 2.745 | 32.6 | 50 |

***

Simulated XRD peak list of Nd2DySc3 for Cu Kα (weighted mean of Kα1 and Kα2), from the GGA-PBE geometry in Alexandria.

Structural model:
a b c (Å): 3.556 3.556 13.708
angles (deg): 90.00 90.00 90.00
Fractional coordinates of all 6 atoms:
Nd  0.000  0.000  0.168
Nd  0.000  0.000  0.832
Dy  0.000  0.000  0.500
Sc  0.500  0.500  0.000
Sc  0.500  0.500  0.337
Sc  0.500  0.500  0.663

Largest 6 diffraction maxima, in order of falling intensity, 2θ = 10–80°:
| d (Å) | two_theta | Rel. int. |
| --- | --- | --- |
| 2.806 | 31.9 | 100 |
| 2.514 | 35.7 | 37 |
| 1.502 | 61.8 | 29 |
| 3.556 | 25.0 | 26 |
| 4.569 | 19.4 | 24 |
| 1.691 | 54.2 | 22 |